[1]
This entry pairs a crystal structure of Fe3O5F with its calculated powder XRD pattern. Radiation: CuKα. Structure: a crystal structure in the Materials Project, relaxed with PBE+U.
Intensities are scaled so that the largest is 100.

Principal peaks in the range 10° ≤ 2θ ≤ 80°, in order of falling intensity:
- d 3.360, 2θ 26.53, intensity 100, (1 1 1)
- d 3.206, 2θ 27.83, intensity 95, (-1 1 1)
- d 2.538, 2θ 35.37, intensity 53, (1 1 -2)
- d 2.518, 2θ 35.66, intensity 51, (1 -1 2)
- d 1.741, 2θ 52.57, intensity 30, (2 2 -1)
- d 1.722, 2θ 53.20, intensity 29, (2 0 3)
- d 1.687, 2θ 54.37, intensity 28, (1 -3 0)
- d 2.319, 2θ 38.83, intensity 20, (0 2 2)
- d 1.371, 2θ 68.43, intensity 20, (0 2 5)
- d 1.680, 2θ 54.63, intensity 16, (2 2 2)

Structural model:
```
18
Lattice="4.645 0.000 0.000 0.252 5.548 0.000 0.152 0.585 7.559" Properties=species:S:1:pos:R:3 pbc="T T T"
Fe 0.000 0.000 0.000
Fe 0.244 2.309 5.045
Fe 2.533 4.941 4.977
Fe 2.449 2.774 0.000
Fe 2.516 1.191 2.583
Fe 4.805 3.823 2.514
O 1.062 2.131 6.776
O 1.126 3.835 4.199
O 1.748 4.946 6.776
O 1.540 1.042 4.277
O 1.586 2.695 1.747
O 3.463 3.438 5.812
O 3.509 5.090 3.282
O 3.301 1.186 0.784
O 3.923 2.298 3.360
O 3.987 4.001 0.783
F 1.222 5.493 1.782
F 3.827 0.639 5.777
```

---

[2]
This entry pairs a crystal structure of Fe5O3F7 with its calculated powder XRD pattern. Radiation: CuKα. Structure: a crystal structure in the Materials Project, relaxed with PBE+U.
Intensities are scaled so that the largest is 100.

Principal peaks in the range 10° ≤ 2θ ≤ 80°, in order of falling intensity:
- d 2.622, 2θ 34.20, intensity 100, (0 5 1)
- d 3.454, 2θ 25.79, intensity 99, (1 0 -1)
- d 3.365, 2θ 26.49, intensity 92, (1 0 1)
- d 1.787, 2θ 51.11, intensity 62, (1 5 -2)
- d 1.762, 2θ 51.89, intensity 53, (1 5 2)
- d 1.429, 2θ 65.30, intensity 40, (0 5 3)
- d 1.727, 2θ 53.03, intensity 18, (2 0 -2)
- d 2.290, 2θ 39.35, intensity 18, (1 5 1)
- d 2.317, 2θ 38.86, intensity 17, (1 5 -1)
- d 1.562, 2θ 59.13, intensity 17, (0 10 0)

Structural model:
```
30
Lattice="4.822 0.000 0.000 0.000 15.625 0.000 -0.126 0.000 4.821" Properties=species:S:1:pos:R:3 pbc="T T T"
Fe 0.000 0.000 0.000
Fe 0.092 3.116 0.135
Fe 0.092 12.509 0.135
Fe 0.233 6.169 0.074
Fe 0.233 9.456 0.074
Fe 2.263 4.800 2.429
Fe 2.263 10.825 2.429
Fe 2.352 7.812 2.663
Fe 2.555 1.586 2.620
Fe 2.555 14.038 2.620
O 0.995 4.547 1.031
O 0.995 11.078 1.031
O 1.547 6.254 3.404
O 1.547 9.371 3.404
O 3.971 1.597 4.088
O 3.971 14.028 4.088
F 1.056 1.526 1.092
F 1.056 14.099 1.092
F 1.109 7.812 1.094
F 1.459 3.183 3.480
F 1.459 12.442 3.480
F 1.484 0.000 3.552
F 3.401 6.279 1.578
F 3.401 9.346 1.578
F 3.417 3.206 1.567
F 3.417 12.419 1.567
F 3.513 0.000 1.578
F 3.800 4.562 3.894
F 3.800 11.063 3.894
F 3.911 7.812 3.991
```

---

[3]
This entry pairs a crystal structure of Fe10O11F9 with its calculated powder XRD pattern. Radiation: CuKα. Structure: a crystal structure in the Materials Project, relaxed with PBE+U.
Intensities are scaled so that the largest is 100.

Principal peaks in the range 10° ≤ 2θ ≤ 80°, in order of falling intensity:
- d 3.412, 2θ 26.11, intensity 100, (1 1 0)
- d 3.282, 2θ 27.17, intensity 96, (1 -1 0)
- d 2.579, 2θ 34.79, intensity 77, (0 1 -5)
- d 1.725, 2θ 53.09, intensity 41, (1 -2 5)
- d 1.759, 2θ 51.99, intensity 31, (1 2 -5)
- d 1.764, 2θ 51.81, intensity 28, (1 2 5)
- d 2.574, 2θ 34.85, intensity 26, (1 0 -5)
- d 1.403, 2θ 66.66, intensity 24, (0 3 -5)
- d 1.537, 2θ 60.21, intensity 17, (0 0 10)
- d 2.244, 2θ 40.19, intensity 16, (1 -1 5)

Structural model:
```
30
Lattice="4.728 0.000 0.000 0.185 4.737 0.000 0.036 0.042 15.371" Properties=species:S:1:pos:R:3 pbc="T T T"
Fe 0.000 0.000 0.000
Fe 4.735 0.031 3.075
Fe 0.136 0.176 12.300
Fe 0.379 4.717 6.098
Fe 0.287 0.054 9.269
Fe 2.579 2.222 10.636
Fe 2.683 2.401 7.686
Fe 2.823 2.466 4.737
Fe 2.845 2.394 1.576
Fe 2.909 2.491 13.795
O 1.123 0.915 10.750
O 1.791 3.292 9.126
O 1.810 3.320 6.250
O 3.516 1.549 12.227
O 3.532 1.536 3.153
O 3.561 1.450 9.099
O 3.580 1.572 15.365
O 3.580 1.476 6.270
O 4.139 3.872 1.550
O 4.206 3.939 13.788
O 4.192 3.882 4.652
F 1.167 0.917 7.658
F 1.161 0.989 1.571
F 1.195 1.050 13.840
F 1.185 0.980 4.623
F 1.752 3.379 12.272
F 1.759 3.386 3.112
F 1.765 3.387 0.000
F 4.137 3.842 10.730
F 4.214 3.857 7.708
```